[1]
Structure and computed powder diffractogram of CePu2I6 (DFT lattice parameters and positions (PBE); Cu Kα (weighted mean of Kα1 and Kα2)).

Structural model:
Cell lengths 10.4238, 10.4238, 9.5380 Å; angles 110.15, 110.15, 23.99 degrees
Sites, in units of the cell vectors:
Ce 0.0000 0.0000 0.0000
Pu 0.3349 0.3349 0.6702
Pu 0.6651 0.6651 0.3298
I 0.1667 0.1667 0.0883
I 0.1691 0.1691 0.5753
I 0.5001 0.5001 0.2495
I 0.4999 0.4999 0.7505
I 0.8309 0.8309 0.4247
I 0.8333 0.8333 0.9117

Top 10 peaks for 2θ from 5° to 70°, in order of rising 2θ:
2θ (°)  I_rel
10.93  92.2
24.01  41.6
27.92  100.0
28.05  49.7
30.15  14.4
38.04  22.0
38.19  43.2
41.72  51.3
51.00  19.1
67.84  16.2

=====

[2]
Structure and computed powder diffractogram of RbCe2I8 (DFT lattice parameters and positions (PBE); Cu Kα (weighted mean of Kα1 and Kα2)).

Structural model:
Cell lengths 6.2401, 10.9047, 10.9997 Å; angles 119.64, 90.01, 90.00 degrees
Sites, in units of the cell vectors:
Rb 0.0000 0.0000 0.0000
Ce 0.2580 0.6678 0.3364
Ce 0.7420 0.3322 0.6636
I 0.2402 0.3314 0.6617
I 0.2649 0.3565 0.1743
I 0.2649 0.8206 0.1774
I 0.2645 0.8221 0.6461
I 0.7355 0.1779 0.3539
I 0.7351 0.1794 0.8226
I 0.7351 0.6435 0.8257
I 0.7598 0.6686 0.3383

Top 10 peaks for 2θ from 5° to 70°, in order of rising 2θ:
2θ (°)  I_rel
16.11  44.5
17.00  69.7
18.74  71.1
23.44  52.9
23.58  100.0
28.61  63.2
32.54  99.6
32.85  47.6
34.37  48.9
43.87  75.4

=====

[3]
Structure and computed powder diffractogram of RbCeScI6 (DFT lattice parameters and positions (PBE); Cu Kα (weighted mean of Kα1 and Kα2)).

Structural model:
Cell lengths 7.8379, 7.8379, 16.8294 Å; angles 90.00, 90.00, 120.00 degrees
Sites, in units of the cell vectors:
Rb 0.0000 0.0000 0.0000
Rb 0.0000 0.0000 0.5000
Ce 0.3333 0.6667 0.2500
Ce 0.6667 0.3333 0.7500
Sc 0.3333 0.6667 0.7500
Sc 0.6667 0.3333 0.2500
I 0.0220 0.3713 0.6443
I 0.0220 0.6507 0.8557
I 0.3493 0.3713 0.8557
I 0.3493 0.9780 0.6443
I 0.3713 0.0220 0.1443
I 0.3713 0.3493 0.3557
I 0.6287 0.6507 0.6443
I 0.6287 0.9780 0.8557
I 0.6507 0.0220 0.3557
I 0.6507 0.6287 0.1443
I 0.9780 0.3493 0.1443
I 0.9780 0.6287 0.3557

Top 10 peaks for 2θ from 5° to 70°, in order of rising 2θ:
2θ (°)  I_rel
10.51  26.0
16.78  27.5
25.07  100.0
31.19  66.8
36.62  11.9
39.51  26.6
39.84  34.5
47.65  12.9
49.16  11.4
51.44  13.6